# 1
Starting from the GGA+U geometry in the Materials Project, the PXRD pattern of Cr4Si4O13 was calculated for Cu Kα.

Lattice parameters (Å, degrees): 6.979 7.779 9.953 67.50 82.62 79.43
Space group P-1 (No. 2)
Unique sites:
Cr: 0.062 0.049 0.128 (multiplicity 2)
Cr: 0.072 0.698 0.493 (multiplicity 2)
Cr: 0.425 0.307 0.509 (multiplicity 2)
Cr: 0.438 0.941 0.880 (multiplicity 2)
Si: 0.131 0.353 0.789 (multiplicity 2)
Si: 0.217 0.355 0.218 (multiplicity 2)
Si: 0.238 0.920 0.667 (multiplicity 2)
Si: 0.428 0.666 0.201 (multiplicity 2)
O: 0.007 0.539 0.810 (multiplicity 2)
O: 0.010 0.036 0.650 (multiplicity 2)
O: 0.052 0.157 0.897 (multiplicity 2)
O: 0.145 0.397 0.611 (multiplicity 2)
O: 0.214 0.820 0.849 (multiplicity 2)
O: 0.243 0.268 0.393 (multiplicity 2)
O: 0.251 0.206 0.140 (multiplicity 2)
O: 0.303 0.778 0.578 (multiplicity 2)
O: 0.343 0.336 0.842 (multiplicity 2)
O: 0.343 0.888 0.107 (multiplicity 2)
O: 0.356 0.521 0.145 (multiplicity 2)
O: 0.398 0.602 0.380 (multiplicity 2)
O: 0.409 0.050 0.653 (multiplicity 2)

Most intense lines, 10° ≤ 2θ ≤ 90°, by angle:
12.6 deg, intensity 59, hkl 0 1 1; 18.4 deg, intensity 31, hkl 0 1 -1; 29.2 deg, intensity 70, hkl 0 0 3; 30.1 deg, intensity 57, hkl 0 2 -1; 31.2 deg, intensity 100, hkl -2 1 1; 32.9 deg, intensity 70, hkl 2 2 2; 38.0 deg, intensity 35, hkl 0 3 0; 52.5 deg, intensity 32, hkl 4 1 1

***

# 2
Starting from the GGA+U geometry in the Materials Project, the PXRD pattern of Cr5Si4O14 was calculated for Cu Kα.

Lattice parameters (Å, degrees): 5.772 7.436 7.920 67.38 89.72 72.50
Space group P-1 (No. 2)
Unique sites:
Cr: 0.000 0.000 0.000 (multiplicity 1)
Cr: 0.075 0.610 0.809 (multiplicity 2)
Cr: 0.356 0.576 0.303 (multiplicity 2)
Si: 0.228 0.216 0.615 (multiplicity 2)
Si: 0.496 0.764 0.865 (multiplicity 2)
O: 0.004 0.767 0.258 (multiplicity 2)
O: 0.145 0.225 0.420 (multiplicity 2)
O: 0.219 0.357 0.048 (multiplicity 2)
O: 0.320 0.765 0.032 (multiplicity 2)
O: 0.349 0.405 0.577 (multiplicity 2)
O: 0.409 0.649 0.747 (multiplicity 2)
O: 0.451 0.008 0.741 (multiplicity 2)

Most intense lines, 10° ≤ 2θ ≤ 90°, by angle:
13.6 deg, intensity 88, hkl 0 1 0; 25.7 deg, intensity 98, hkl 1 2 1; 28.9 deg, intensity 59, hkl -1 1 2; 30.0 deg, intensity 100, hkl 1 2 2; 32.8 deg, intensity 68, hkl 0 1 -2; 33.9 deg, intensity 44, hkl -1 2 1; 34.1 deg, intensity 50, hkl 2 1 -1; 36.6 deg, intensity 33, hkl 2 0 1

***

# 3
Starting from the GGA+U geometry in the Materials Project, the PXRD pattern of Cr2SiO4 was calculated for Cu Kα.

Lattice parameters (Å, degrees): 5.756 9.868 11.400 90.00 90.00 90.00
Space group Fddd (No. 70, origin choice 2)
Unique sites:
Cr: 0.125 0.274 0.125 (multiplicity 16)
Si: 0.125 0.125 0.625 (multiplicity 8)
O: 0.043 0.272 0.951 (multiplicity 32)

Most intense lines, 10° ≤ 2θ ≤ 90°, by angle:
31.4 deg, intensity 34, hkl 0 0 4; 32.3 deg, intensity 100, hkl 1 3 1; 34.9 deg, intensity 52, hkl 2 0 2; 36.4 deg, intensity 23, hkl 0 4 0; 39.5 deg, intensity 26, hkl 1 3 3; 51.3 deg, intensity 39, hkl 1 3 5; 56.1 deg, intensity 19, hkl 3 3 1; 58.2 deg, intensity 21, hkl 2 0 6